[1]
# Li9Mn2Co5O16
Computed X-ray powder pattern, Cu Ka. Input: a structure optimized by DFT (GGA+U).

Most intense lines, 5 to 70 degrees two-theta, low angle first:
18.26°, I 100; 35.66°, I 14; 35.95°, I 13; 36.32°, I 13; 43.07°, I 28; 43.53°, I 27; 43.91°, I 27; 47.61°, I 9; 62.74°, I 15; 63.00°, I 15

Structural model:
Unit cell a=6.5624 b=6.6422 c=7.7766 alpha=74.67 beta=65.25 gamma=71.25
Sites, in units of the cell vectors:
Li 0.0000 0.0000 0.0000
Li 0.0551 0.4399 0.8226
Li 0.1202 0.8673 0.6342
Li 0.2437 0.7506 0.2574
Li 0.3709 0.6220 0.8795
Li 0.4817 0.5017 0.5232
Li 0.6343 0.3699 0.1187
Li 0.7472 0.2537 0.7624
Li 0.8722 0.1302 0.3861
Mn 0.5614 0.9368 0.3171
Mn 0.9321 0.5598 0.1954
Co 0.1830 0.3100 0.4541
Co 0.3069 0.1956 0.0589
Co 0.4344 0.0631 0.6969
Co 0.6874 0.8047 0.9405
Co 0.8180 0.6758 0.5779
O 0.0032 0.7143 0.9359
O 0.1136 0.1535 0.7073
O 0.1379 0.5918 0.5343
O 0.2426 0.0349 0.3373
O 0.2505 0.4657 0.1763
O 0.3532 0.9136 0.9735
O 0.4027 0.3256 0.8006
O 0.4833 0.7912 0.5822
O 0.5252 0.1956 0.4099
O 0.6047 0.6679 0.2293
O 0.6429 0.0812 0.0563
O 0.7086 0.5465 0.8476
O 0.7652 0.9602 0.6680
O 0.8500 0.4172 0.4630
O 0.8848 0.8292 0.2877
O 0.9670 0.3011 0.1135

=====

[2]
# NaMn2Mo2H3O10
Computed X-ray powder pattern, Cu Ka. Input: a structure optimized by DFT (GGA+U).

Most intense lines, 5 to 70 degrees two-theta, low angle first:
15.72°, I 100; 16.49°, I 27; 22.39°, I 39; 26.67°, I 34; 27.35°, I 22; 28.07°, I 23; 30.17°, I 44; 31.30°, I 23; 31.74°, I 35; 45.69°, I 23

Structural model:
Unit cell a=6.5003 b=6.5003 c=7.3461 alpha=119.83 beta=119.83 gamma=75.30
Sites, in units of the cell vectors:
Na 0.0000 0.0000 0.0000
Mn 0.0540 0.3132 0.7908
Mn 0.6868 0.9460 0.2092
Mo 0.5281 0.4330 0.6932
Mo 0.5670 0.4719 0.3068
H 0.0745 0.9255 0.5000
H 0.1644 0.1370 0.4779
H 0.8630 0.8356 0.5221
O 0.0173 0.9251 0.3126
O 0.0749 0.9827 0.6874
O 0.2489 0.2881 0.6384
O 0.2803 0.5370 0.1160
O 0.4391 0.2398 0.3496
O 0.4630 0.7197 0.8840
O 0.6990 0.2026 0.1456
O 0.7119 0.7511 0.3616
O 0.7602 0.5609 0.6504
O 0.7974 0.3010 0.8544

=====

[3]
# Mn2In2O7
Computed X-ray powder pattern, Cu Ka. Input: a structure optimized by DFT (GGA+U).

Most intense lines, 5 to 70 degrees two-theta, low angle first:
15.53°, I 12; 29.99°, I 5; 31.36°, I 100; 36.36°, I 26; 39.76°, I 13; 47.83°, I 5; 52.37°, I 48; 54.97°, I 4; 62.33°, I 38; 65.43°, I 8

Structural model:
Unit cell a=6.9878 b=6.9878 c=6.9878 alpha=60.00 beta=60.00 gamma=60.00
Sites, in units of the cell vectors:
Mn 0.0000 0.0000 0.0000
Mn 0.0000 0.0000 0.5000
Mn 0.0000 0.5000 0.0000
Mn 0.5000 0.0000 0.0000
In 0.0000 0.5000 0.5000
In 0.5000 0.0000 0.5000
In 0.5000 0.5000 0.0000
In 0.5000 0.5000 0.5000
O 0.0819 0.0819 0.6682
O 0.0819 0.6682 0.0819
O 0.0819 0.6682 0.6682
O 0.3318 0.3318 0.9182
O 0.3318 0.9182 0.3318
O 0.3318 0.9182 0.9182
O 0.3750 0.3750 0.3750
O 0.6250 0.6250 0.6250
O 0.6682 0.0819 0.0819
O 0.6682 0.0819 0.6682
O 0.6682 0.6682 0.0819
O 0.9182 0.3318 0.3318
O 0.9182 0.3318 0.9182
O 0.9182 0.9182 0.3318

=====

[4]
# Tl3CrF6
Computed X-ray powder pattern, Cu Ka. Input: a structure optimized by DFT (GGA+U).

Most intense lines, 5 to 70 degrees two-theta, low angle first:
16.79°, I 7; 19.41°, I 3; 27.58°, I 100; 32.46°, I 8; 33.95°, I 7; 39.40°, I 29; 43.11°, I 5; 48.77°, I 41; 56.95°, I 19; 64.42°, I 20

Structural model:
Unit cell a=6.4681 b=6.4681 c=6.4681 alpha=60.00 beta=60.00 gamma=60.00
Sites, in units of the cell vectors:
Tl 0.0000 0.0000 0.0000
Tl 0.2500 0.2500 0.2500
Tl 0.7500 0.7500 0.7500
Cr 0.5000 0.5000 0.5000
F 0.2862 0.2862 0.7138
F 0.2862 0.7138 0.2862
F 0.2862 0.7138 0.7138
F 0.7138 0.2862 0.2862
F 0.7138 0.2862 0.7138
F 0.7138 0.7138 0.2862

=====

[5]
# Li9Mn2Co5O16
Computed X-ray powder pattern, Cu Ka. Input: a structure optimized by DFT (GGA+U).

Most intense lines, 5 to 70 degrees two-theta, low angle first:
18.34°, I 100; 36.00°, I 27; 36.53°, I 12; 43.47°, I 28; 43.57°, I 28; 44.17°, I 26; 47.84°, I 9; 63.09°, I 15; 63.30°, I 8; 64.29°, I 14

Structural model:
Unit cell a=5.7954 b=6.5808 c=7.7423 alpha=86.14 beta=80.15 gamma=77.42
Sites, in units of the cell vectors:
Li 0.0000 0.0000 0.0000
Li 0.0631 0.1197 0.6317
Li 0.1809 0.3737 0.8828
Li 0.3035 0.6365 0.1210
Li 0.4336 0.8823 0.3716
Li 0.5587 0.1202 0.6274
Li 0.6843 0.3732 0.8837
Li 0.8104 0.6335 0.1264
Li 0.9360 0.8843 0.3632
Mn 0.7428 0.5025 0.5029
Mn 0.8732 0.7586 0.7570
Co 0.1211 0.2395 0.2442
Co 0.2452 0.5037 0.4968
Co 0.3702 0.7530 0.7532
Co 0.4927 0.0021 0.0011
Co 0.6273 0.2453 0.2412
O 0.0148 0.5625 0.3362
O 0.0961 0.6915 0.9151
O 0.1463 0.8060 0.5854
O 0.2200 0.9474 0.1899
O 0.2976 0.0402 0.8176
O 0.3389 0.2053 0.4262
O 0.3998 0.3090 0.0657
O 0.4660 0.4606 0.6732
O 0.5343 0.5578 0.3298
O 0.5980 0.6952 0.9193
O 0.6527 0.7925 0.5788
O 0.7012 0.9490 0.1829
O 0.7825 0.0411 0.8106
O 0.8316 0.2128 0.4386
O 0.8987 0.3174 0.0815
O 0.9518 0.4582 0.6795

=====

[6]
# Li4Fe9CoO20
Computed X-ray powder pattern, Cu Ka. Input: a structure optimized by DFT (GGA+U).

Most intense lines, 5 to 70 degrees two-theta, low angle first:
18.24°, I 100; 35.38°, I 13; 35.76°, I 23; 36.99°, I 7; 42.98°, I 19; 43.31°, I 36; 57.08°, I 9; 62.62°, I 9; 62.69°, I 10; 65.89°, I 9

Structural model:
Unit cell a=5.9531 b=2.9331 c=21.2502 alpha=90.00 beta=97.97 gamma=90.00
Sites, in units of the cell vectors:
Li 0.1947 0.0000 0.4005
Li 0.2034 0.5000 0.8930
Li 0.7966 0.5000 0.1070
Li 0.8053 0.0000 0.5995
Fe 0.1243 0.5000 0.7055
Fe 0.1355 0.0000 0.2024
Fe 0.2910 0.0000 0.5960
Fe 0.2998 0.5000 0.0966
Fe 0.5000 0.0000 0.0000
Fe 0.7002 0.5000 0.9034
Fe 0.7090 0.0000 0.4040
Fe 0.8645 0.0000 0.7976
Fe 0.8757 0.5000 0.2945
Co 0.5000 0.5000 0.5000
O 0.0737 0.5000 0.6044
O 0.0894 0.0000 0.1016
O 0.0904 0.5000 0.8005
O 0.1008 0.0000 0.2979
O 0.2759 0.5000 0.0067
O 0.2931 0.0000 0.4996
O 0.3293 0.0000 0.6969
O 0.3444 0.5000 0.1863
O 0.4751 0.0000 0.9053
O 0.4746 0.5000 0.4108
O 0.5249 0.0000 0.0947
O 0.5254 0.5000 0.5892
O 0.6556 0.5000 0.8137
O 0.6707 0.0000 0.3031
O 0.7069 0.0000 0.5004
O 0.7241 0.5000 0.9933
O 0.8992 0.0000 0.7021
O 0.9096 0.5000 0.1995
O 0.9106 0.0000 0.8984
O 0.9263 0.5000 0.3956

=====

Copy entry 1 word for word.
# Li9Mn2Co5O16
Computed X-ray powder pattern, Cu Ka. Input: a structure optimized by DFT (GGA+U).

Most intense lines, 5 to 70 degrees two-theta, low angle first:
18.26°, I 100; 35.66°, I 14; 35.95°, I 13; 36.32°, I 13; 43.07°, I 28; 43.53°, I 27; 43.91°, I 27; 47.61°, I 9; 62.74°, I 15; 63.00°, I 15

Structural model:
Unit cell a=6.5624 b=6.6422 c=7.7766 alpha=74.67 beta=65.25 gamma=71.25
Sites, in units of the cell vectors:
Li 0.0000 0.0000 0.0000
Li 0.0551 0.4399 0.8226
Li 0.1202 0.8673 0.6342
Li 0.2437 0.7506 0.2574
Li 0.3709 0.6220 0.8795
Li 0.4817 0.5017 0.5232
Li 0.6343 0.3699 0.1187
Li 0.7472 0.2537 0.7624
Li 0.8722 0.1302 0.3861
Mn 0.5614 0.9368 0.3171
Mn 0.9321 0.5598 0.1954
Co 0.1830 0.3100 0.4541
Co 0.3069 0.1956 0.0589
Co 0.4344 0.0631 0.6969
Co 0.6874 0.8047 0.9405
Co 0.8180 0.6758 0.5779
O 0.0032 0.7143 0.9359
O 0.1136 0.1535 0.7073
O 0.1379 0.5918 0.5343
O 0.2426 0.0349 0.3373
O 0.2505 0.4657 0.1763
O 0.3532 0.9136 0.9735
O 0.4027 0.3256 0.8006
O 0.4833 0.7912 0.5822
O 0.5252 0.1956 0.4099
O 0.6047 0.6679 0.2293
O 0.6429 0.0812 0.0563
O 0.7086 0.5465 0.8476
O 0.7652 0.9602 0.6680
O 0.8500 0.4172 0.4630
O 0.8848 0.8292 0.2877
O 0.9670 0.3011 0.1135